# 1
This entry pairs a crystal structure of Pa5AgBi5 with its simulated X-ray diffraction stick pattern. Radiation: Cu Kα (weighted mean of Kα1 and Kα2). Structure: DFT lattice parameters and positions (GGA-PBE).

```
data_Pa5AgBi5
_space_group_name_H-M_alt 'P 1'
_space_group_IT_number 1
_cell_length_a 7.504
_cell_length_b 7.504
_cell_length_c 8.468
_cell_angle_alpha 109.81
_cell_angle_beta 109.81
_cell_angle_gamma 46.46
loop_
_space_group_symop_operation_xyz
'x,y,z'
loop_
_atom_site_label
_atom_site_fract_x
_atom_site_fract_y
_atom_site_fract_z
Pa1 0.000 0.000 0.000
Pa2 0.386 0.386 0.772
Pa3 0.399 0.399 0.104
Pa4 0.601 0.601 0.896
Pa5 0.614 0.614 0.228
Ag1 0.000 0.000 0.500
Bi1 0.169 0.169 0.822
Bi2 0.206 0.206 0.364
Bi3 0.500 0.500 0.500
Bi4 0.794 0.794 0.636
Bi5 0.831 0.831 0.178
```

Principal peaks in the range 5° ≤ 2θ ≤ 70°, in order of rising 2θ:
Position (°2θ), I_rel
28.7, 61
30.2, 100
30.7, 34
31.2, 19
35.7, 36
36.0, 25
36.2, 16
38.3, 46
42.2, 26
43.6, 29



# 2
This entry pairs a crystal structure of PrEr2F with its simulated X-ray diffraction stick pattern. Radiation: Cu Kα (weighted mean of Kα1 and Kα2). Structure: DFT lattice parameters and positions (GGA-PBE).

```
data_PrEr2F
_space_group_name_H-M_alt 'P 1'
_space_group_IT_number 1
_cell_length_a 9.627
_cell_length_b 9.627
_cell_length_c 9.627
_cell_angle_alpha 21.56
_cell_angle_beta 21.56
_cell_angle_gamma 21.56
loop_
_space_group_symop_operation_xyz
'x,y,z'
loop_
_atom_site_label
_atom_site_fract_x
_atom_site_fract_y
_atom_site_fract_z
Pr1 0.000 0.000 0.000
Er1 0.119 0.119 0.119
Er2 0.881 0.881 0.881
F1 0.500 0.500 0.500
```

Principal peaks in the range 5° ≤ 2θ ≤ 70°, in order of rising 2θ:
Position (°2θ), I_rel
9.4, 23
28.5, 45
28.8, 100
29.3, 25
36.4, 34
38.5, 80
43.3, 20
50.7, 38
59.2, 36
60.3, 18



# 3
This entry pairs a crystal structure of BeSi2Ru with its simulated X-ray diffraction stick pattern. Radiation: Cu Kα (weighted mean of Kα1 and Kα2). Structure: DFT lattice parameters and positions (GGA-PBE).

```
data_BeSi2Ru
_space_group_name_H-M_alt 'P 1'
_space_group_IT_number 1
_cell_length_a 4.443
_cell_length_b 4.443
_cell_length_c 4.137
_cell_angle_alpha 95.41
_cell_angle_beta 95.41
_cell_angle_gamma 37.31
loop_
_space_group_symop_operation_xyz
'x,y,z'
loop_
_atom_site_label
_atom_site_fract_x
_atom_site_fract_y
_atom_site_fract_z
Be1 0.000 0.000 0.000
Si1 0.240 0.240 0.767
Si2 0.481 0.481 0.481
Ru1 0.745 0.745 0.258
```

Principal peaks in the range 5° ≤ 2θ ≤ 70°, in order of rising 2θ:
Position (°2θ), I_rel
21.2, 95
21.6, 64
28.9, 30
33.3, 36
39.4, 38
40.6, 100
43.2, 41
47.2, 32
49.4, 56
51.4, 24